Calculated X-ray diffraction stick pattern of Gd2FeC4 for CuKα, from a structure optimized by DFT (PBE).

Cell and atoms:
Cell: 6.651 6.651 6.651 Å, 111.44 85.76 135.11°
Positions (direct):
Gd: 0.145 0.158 0.303
Gd: 0.355 0.658 0.014
Gd: 0.645 0.342 0.986
Gd: 0.855 0.842 0.697
Fe: 0.250 0.750 0.500
Fe: 0.750 0.250 0.500
C: 0.078 0.664 0.742
C: 0.127 0.835 0.963
C: 0.373 0.335 0.708
C: 0.422 0.164 0.586
C: 0.578 0.836 0.414
C: 0.627 0.665 0.292
C: 0.873 0.165 0.037
C: 0.922 0.336 0.258

Peak list (10 most intense, 10° ≤ 2θ ≤ 80°, by angle)
2θ 28.03, intensity 100
2θ 29.97, intensity 46
2θ 31.05, intensity 79
2θ 35.35, intensity 25
2θ 37.16, intensity 30
2θ 38.56, intensity 24
2θ 45.82, intensity 16
2θ 52.01, intensity 25
2θ 56.18, intensity 21
2θ 59.17, intensity 32